Diffraction record for La3HfGa5O14. The XRD peak list is simulated, not measured: it uses DFT lattice parameters and positions (PBE) and a wavelength of 1.5418 Å.

Principal peaks in the range 2θ from 10° to 90°, in order of falling intensity:
| index | 2θ (°) | intensity |
| --- | --- | --- |
| 0 2 1 | 30.09 | 100 |
| 1 1 1 | 27.38 | 52 |
| 1 2 2 | 48.28 | 22 |
| 1 2 1 | 37.14 | 21 |
| 3 2 1 | 58.36 | 21 |
| 2 0 0 | 24.61 | 17 |
| 0 0 2 | 34.47 | 17 |
| 2 1 0 | 32.75 | 16 |
| 0 2 3 | 59.06 | 15 |
| 3 1 1 | 48.64 | 15 |

Atomic structure:
Cell lengths 8.3531, 8.3531, 5.2043 Å; angles 90.00, 90.00, 120.00 degrees
Element x y z (fractional)
La: 0.0000 0.5740 0.0000
La: 0.4260 0.4260 0.0000
La: 0.5740 0.0000 0.0000
Hf: 0.0000 0.0000 0.0000
Ga: 0.0000 0.2441 0.5000
Ga: 0.2441 0.0000 0.5000
Ga: 0.3333 0.6667 0.5297
Ga: 0.6667 0.3333 0.4703
Ga: 0.7559 0.7559 0.5000
O: 0.0794 0.8526 0.2425
O: 0.1474 0.2268 0.2425
O: 0.1465 0.4576 0.6984
O: 0.2268 0.1474 0.7575
O: 0.3111 0.8535 0.6984
O: 0.3333 0.6667 0.1802
O: 0.4576 0.1465 0.3016
O: 0.5424 0.6889 0.6984
O: 0.6667 0.3333 0.8198
O: 0.6889 0.5424 0.3016
O: 0.7732 0.9206 0.2425
O: 0.8526 0.0794 0.7575
O: 0.8535 0.3111 0.3016
O: 0.9206 0.7732 0.7575

***

Diffraction record for KSr2Bi3O9. The XRD peak list is simulated, not measured: it uses DFT lattice parameters and positions (PBE) and a wavelength of 1.5418 Å.

Principal peaks in the range 2θ from 10° to 90°, in order of falling intensity:
| index | 2θ (°) | intensity |
| --- | --- | --- |
| 1 1 0 | 29.16 | 100 |
| 0 1 2 | 29.02 | 100 |
| 1 0 1 | 20.46 | 78 |
| 3 0 0 | 51.64 | 64 |
| 2 0 2 | 41.61 | 59 |
| 4 1 0 | 83.48 | 23 |
| 1 1 3 | 46.70 | 21 |
| 1 0 4 | 51.36 | 20 |
| 2 1 1 | 46.88 | 19 |
| 2 2 0 | 60.45 | 19 |

Atomic structure:
Cell lengths 6.1255, 6.1255, 7.5540 Å; angles 90.00, 90.00, 120.00 degrees
Element x y z (fractional)
K: 0.0000 0.0000 0.0000
Sr: 0.3333 0.6667 0.6371
Sr: 0.6667 0.3333 0.3629
Bi: 0.0000 0.0000 0.5000
Bi: 0.3333 0.6667 0.1592
Bi: 0.6667 0.3333 0.8408
O: 0.0000 0.5000 0.0000
O: 0.1742 0.3484 0.3524
O: 0.1742 0.8258 0.3524
O: 0.3484 0.1742 0.6476
O: 0.5000 0.0000 0.0000
O: 0.5000 0.5000 0.0000
O: 0.6516 0.8258 0.3524
O: 0.8258 0.1742 0.6476
O: 0.8258 0.6516 0.6476